No. 1
Diffraction record for CeC2. The powder diffractogram is calculated, not measured: it uses a PBE-relaxed structure and CuKα.

The 10 most intense peaks (2θ = 10–80°), sorted by position:
2theta, I/Imax
27.56, 100
28.28, 34
33.62, 53
44.49, 39
48.28, 18
49.62, 29
56.49, 29
56.89, 19
69.18, 8
71.74, 19

Structural model:
```
data_CeC2
_chemical_formula_sum 'Ce2 C4'
_symmetry_space_group_name_H-M 'I 4/m m m'
_symmetry_Int_Tables_number 139
_symmetry_space_group_name_Hall '-I 4 2'
_cell_length_a 3.770
_cell_length_b 3.770
_cell_length_c 6.312
_cell_angle_alpha 90.00
_cell_angle_beta 90.00
_cell_angle_gamma 90.00
loop_
_atom_site_label
_atom_site_fract_x
_atom_site_fract_y
_atom_site_fract_z
Ce1 0.000 0.000 0.000
C1 0.000 0.000 0.396
```

***

No. 2
Diffraction record for ScSnPt2. The powder diffractogram is calculated, not measured: it uses a PBE-relaxed structure and CuKα.

The 10 most intense peaks (2θ = 10–80°), sorted by position:
2theta, I/Imax
23.26, 4
26.92, 19
38.43, 100
45.40, 3
47.54, 6
55.48, 17
60.96, 1
62.72, 8
69.51, 36
74.41, 1

Structural model:
```
data_ScSnPt2
_chemical_formula_sum 'Sc4 Sn4 Pt8'
_symmetry_space_group_name_H-M 'F m -3 m'
_symmetry_Int_Tables_number 225
_symmetry_space_group_name_Hall '-F 4 2 3'
_cell_length_a 6.625
_cell_length_b 6.625
_cell_length_c 6.625
_cell_angle_alpha 90.00
_cell_angle_beta 90.00
_cell_angle_gamma 90.00
loop_
_atom_site_label
_atom_site_fract_x
_atom_site_fract_y
_atom_site_fract_z
Sc1 0.000 0.000 0.000
Sn1 0.000 0.000 0.500
Pt1 0.250 0.250 0.250
```

***

No. 3
Diffraction record for SiS. The powder diffractogram is calculated, not measured: it uses a PBE-relaxed structure and CuKα.

The 10 most intense peaks (2θ = 10–80°), sorted by position:
2theta, I/Imax
11.06, 100
23.52, 77
24.96, 98
26.86, 78
29.12, 59
30.77, 40
32.79, 49
35.12, 39
46.73, 50
49.44, 44

Structural model:
```
data_SiS
_chemical_formula_sum 'Si4 S4'
_symmetry_space_group_name_H-M 'P m n a'
_symmetry_Int_Tables_number 53
_cell_length_a 6.643
_cell_length_b 23.998
_cell_length_c 3.985
_cell_angle_alpha 90.00
_cell_angle_beta 90.00
_cell_angle_gamma 90.00
loop_
_symmetry_equiv_pos_as_xyz
'x,y,z'
'-x,-y,-z'
'-x+1/2,-y,z+1/2'
'x+1/2,y,-z+1/2'
'x,-y,-z'
'-x,y,z'
'-x+1/2,y,-z+1/2'
'x+1/2,-y,z+1/2'
loop_
_atom_site_label
_atom_site_fract_x
_atom_site_fract_y
_atom_site_fract_z
Si1 0.250 0.027 0.250
S1 0.000 0.085 0.205
```

***

Number 1 is which compound?
CeC2